[1]
The following is a simulated powder XRD pattern of Ba2AgP. It was derived from DFT lattice parameters and positions (PBE), using Cu Kα, 1.54184 Å.
Kinematic intensities with the Lorentz-polarization factor, no thermal factor.

Crystal structure
abc: 4.6854 4.6854 24.8228
angles: 90.00 90.00 120.00
Space group R3m (No. 160, hexagonal axes)
Unique sites:
1 Ba 0.0000 0.0000 0.0000
2 Ba 0.0000 0.0000 0.1964
3 Ag 0.0000 0.0000 0.4330
4 P 0.0000 0.0000 0.5975

Most intense lines, 15 to 90 degrees two-theta, by angle:
index	d [Å]	Rel. int.
1 0 1	4.005	35.4
0 1 2	3.857	18.2
1 0 4	3.396	60.0
0 1 5	3.142	100.0
0 0 9	2.758	13.9
1 0 7	2.670	23.2
1 1 0	2.343	56.1
1 0 10	2.117	15.0
2 0 5	1.878	22.1
1 1 9	1.786	22.7
1 2 5	1.465	19.6
3 0 0	1.352	13.5

=====

[2]
The following is a simulated powder XRD pattern of La5ZnAg4. It was derived from DFT lattice parameters and positions (PBE), using Cu Kα, 1.54184 Å.
Kinematic intensities with the Lorentz-polarization factor, no thermal factor.

Crystal structure
abc: 3.8000 3.8000 19.1875
angles: 90.00 90.00 90.00
Space group P4/mmm (No. 123)
Unique sites:
1 La 0.0000 0.0000 0.0000
2 La 0.0000 0.0000 0.2021
3 La 0.0000 0.0000 0.4047
4 Zn 0.5000 0.5000 0.5000
5 Ag 0.5000 0.5000 0.1003
6 Ag 0.5000 0.5000 0.3028

Most intense lines, 15 to 90 degrees two-theta, by angle:
index	d [Å]	Rel. int.
1 0 0	3.800	2.1
1 0 5	2.700	100.0
1 1 0	2.687	49.7
0 0 10	1.919	9.0
2 0 0	1.900	17.7
1 1 10	1.562	18.0
2 1 5	1.554	36.0
2 0 10	1.350	10.9
2 2 0	1.344	5.5
1 0 15	1.212	7.4
3 1 0	1.202	15.3
2 2 10	1.101	5.9

=====

[3]
The following is a simulated powder XRD pattern of Li4Sn3Bi2. It was derived from DFT lattice parameters and positions (PBE), using Cu Kα, 1.54184 Å.
Kinematic intensities with the Lorentz-polarization factor, no thermal factor.

Crystal structure
abc: 4.3965 5.2232 10.3590
angles: 100.72 90.13 114.46
Space group P-1 (No. 2)
Unique sites:
1 Li 0.0031 0.0067 0.1844
2 Li 0.3328 0.6651 0.6024
3 Sn 0.0000 0.0000 0.5000
4 Sn 0.3280 0.6594 0.9373
5 Bi 0.3337 0.6678 0.2927

Most intense lines, 15 to 90 degrees two-theta, by angle:
index	d [Å]	Rel. int.
0 1 -1	4.602	96.4
0 1 -2	3.844	86.1
1 0 1	3.602	48.9
-1 1 1	3.588	49.5
1 0 2	3.003	100.0
1 0 -3	2.698	80.6
1 -1 3	2.690	79.9
1 1 0	2.543	71.7
1 -2 0	2.526	70.5
0 1 3	2.501	64.9
2 -1 0	2.198	47.8
0 2 -3	2.132	42.5

=====

[4]
The following is a simulated powder XRD pattern of LiMgCd2Hg4. It was derived from DFT lattice parameters and positions (PBE), using Cu Kα, 1.54184 Å.
Kinematic intensities with the Lorentz-polarization factor, no thermal factor.

Crystal structure
abc: 6.4266 10.0712 11.8991
angles: 90.00 90.00 90.00
Space group F222 (No. 22)
Unique sites:
1 Li 0.0000 0.0000 0.0000
2 Mg 0.2500 0.2500 0.7500
3 Cd 0.0000 0.0000 0.5000
4 Cd 0.2500 0.2500 0.2500
5 Hg 0.0000 0.0000 0.2368
6 Hg 0.2500 0.2500 0.5053

Most intense lines, 15 to 90 degrees two-theta, by angle:
index	d [Å]	Rel. int.
0 2 2	3.844	59.8
0 0 4	2.975	61.1
2 0 2	2.827	28.2
2 2 0	2.709	100.0
0 4 0	2.518	40.9
2 2 4	2.003	80.2
0 4 4	1.922	35.3
2 4 2	1.880	18.2
2 6 0	1.488	22.8
2 6 4	1.331	21.3
2 2 8	1.304	17.1
4 4 4	1.233	16.7

=====

[5]
The following is a simulated powder XRD pattern of CsPrP. It was derived from DFT lattice parameters and positions (PBE), using Cu Kα, 1.54184 Å.
Kinematic intensities with the Lorentz-polarization factor, no thermal factor.

Crystal structure
abc: 4.9204 4.9204 40.9738
angles: 90.00 90.00 120.00
Space group R-3m (No. 166, hexagonal axes)
Unique sites:
1 Cs 0.0000 0.0000 0.1091
2 Pr 0.0000 0.0000 0.3029
3 P 0.0000 0.0000 0.3753

Most intense lines, 15 to 90 degrees two-theta, by angle:
index	d [Å]	Rel. int.
0 1 2	4.172	15.8
1 0 4	3.934	26.5
0 1 5	3.781	100.0
1 0 10	2.954	55.7
0 0 15	2.732	14.2
1 1 0	2.460	49.3
2 0 5	2.062	19.2
1 1 12	1.996	17.0
0 2 10	1.890	15.2
1 1 15	1.828	25.7
1 2 5	1.580	16.5
2 1 10	1.499	14.3

=====

[6]
The following is a simulated powder XRD pattern of Ta2Ti2Co2C. It was derived from DFT lattice parameters and positions (PBE), using Cu Kα, 1.54184 Å.
Kinematic intensities with the Lorentz-polarization factor, no thermal factor.

Crystal structure
abc: 8.1427 8.1427 11.4477
angles: 90.00 90.00 90.00
Space group I-4m2 (No. 119)
Unique sites:
1 Ta 0.0000 0.0000 0.1858
2 Ta 0.0000 0.5000 0.0594
3 Ta 0.1901 0.1901 0.0000
4 Ti 0.0000 0.2473 0.6279
5 Ti 0.1846 0.3154 0.2500
6 Co 0.0000 0.1689 0.4169
7 Co 0.0000 0.3344 0.8365
8 C 0.0000 0.2515 0.1267

Most intense lines, 15 to 90 degrees two-theta, by angle:
index	d [Å]	Rel. int.
0 0 2	5.725	20.4
2 2 0	2.879	13.0
2 1 3	2.636	33.0
3 1 2	2.348	47.9
2 0 4	2.341	15.2
3 0 3	2.214	100.0
1 0 5	2.204	28.9
4 0 0	2.036	12.2
2 2 4	2.030	14.0
6 0 0	1.357	28.0
3 3 6	1.353	15.6
5 0 5	1.327	11.7

=====

[7]
The following is a simulated powder XRD pattern of HgPb. It was derived from DFT lattice parameters and positions (PBE), using Cu Kα, 1.54184 Å.
Kinematic intensities with the Lorentz-polarization factor, no thermal factor.

Crystal structure
abc: 3.3748 17.1637 5.9553
angles: 90.00 90.00 90.00
Space group Pmmn (No. 59, origin choice 2)
Unique sites:
1 Hg 0.2500 0.0828 0.1162
2 Hg 0.2500 0.7500 0.6647
3 Pb 0.2500 0.2500 0.8495
4 Pb 0.2500 0.5850 0.3856

Most intense lines, 15 to 90 degrees two-theta, by angle:
index	d [Å]	Rel. int.
1 1 1	2.894	51.4
0 6 0	2.861	66.1
1 2 1	2.778	60.4
0 3 2	2.641	100.0
1 3 1	2.612	20.8
1 4 1	2.423	43.1
1 5 1	2.231	24.2
1 7 1	1.882	15.9
0 9 2	1.606	22.8
2 6 0	1.453	17.7
2 3 2	1.422	30.8
2 9 2	1.163	16.7

=====

[8]
The following is a simulated powder XRD pattern of PmTcH2O6. It was derived from DFT lattice parameters and positions (PBE), using Cu Kα, 1.54184 Å.
Kinematic intensities with the Lorentz-polarization factor, no thermal factor.

Crystal structure
abc: 5.2191 5.2639 5.9160
angles: 92.24 116.15 116.62
Space group P1 (No. 1)
Unique sites:
1 Pm 0.0000 0.0000 0.0000
2 Tc 0.9937 0.4579 0.4918
3 H 0.4069 0.0447 0.6886
4 H 0.6881 0.7519 0.2986
5 O 0.1563 0.4556 0.2764
6 O 0.1773 0.2938 0.7167
7 O 0.4728 0.8962 0.7106
8 O 0.5819 0.1534 0.2795
9 O 0.8415 0.7319 0.2572
10 O 0.9078 0.6304 0.6999

Most intense lines, 15 to 90 degrees two-theta, by angle:
index	d [Å]	Rel. int.
1 0 0	4.004	100.0
-1 1 1	3.824	44.6
0 1 1	2.960	20.9
1 0 -2	2.927	20.6
1 -1 1	2.915	21.2
1 1 -1	2.753	13.8
1 -2 0	2.627	10.1
-2 1 1	2.605	8.9
0 2 -2	2.002	15.0
1 1 1	1.875	8.3
1 -2 2	1.833	14.6
2 1 -1	1.751	9.8

=====

[9]
The following is a simulated powder XRD pattern of TlPdPtO4. It was derived from DFT lattice parameters and positions (PBE), using Cu Kα, 1.54184 Å.
Kinematic intensities with the Lorentz-polarization factor, no thermal factor.

Crystal structure
abc: 6.1325 6.3510 10.5966
angles: 90.00 90.00 90.00
Space group Imma (No. 74)
Unique sites:
1 Tl 0.0000 0.2500 0.1533
2 Pd 0.0000 0.0000 0.5000
3 Pt 0.2500 0.2500 0.7500
4 O 0.0000 0.0531 0.6975
5 O 0.2098 0.2500 0.4814

Most intense lines, 15 to 90 degrees two-theta, by angle:
index	d [Å]	Rel. int.
0 0 2	5.299	24.4
1 1 2	3.390	58.9
0 2 0	3.176	28.2
0 1 3	3.087	42.4
1 0 3	3.061	53.3
0 2 2	2.724	90.0
2 1 1	2.672	100.0
0 0 4	2.652	20.3
0 1 5	2.010	26.6
2 3 1	1.719	33.1
2 2 4	1.695	69.3
2 0 6	1.530	17.5

=====

[10]
The following is a simulated powder XRD pattern of Th4ZnGe. It was derived from DFT lattice parameters and positions (PBE), using Cu Kα, 1.54184 Å.
Kinematic intensities with the Lorentz-polarization factor, no thermal factor.

Crystal structure
abc: 7.5124 7.5124 5.8433
angles: 90.00 90.00 90.00
Space group P4/mcc (No. 124)
Unique sites:
1 Th 0.1575 0.3382 0.0000
2 Zn 0.5000 0.5000 0.2500
3 Ge 0.0000 0.0000 0.2500

Most intense lines, 15 to 90 degrees two-theta, by angle:
index	d [Å]	Rel. int.
0 0 2	2.914	100.0
1 1 2	2.560	10.9
3 1 0	2.376	20.9
2 0 2	2.306	13.6
3 3 0	1.771	6.1
4 1 1	1.739	14.2
2 1 3	1.685	18.0
4 0 2	1.580	8.1
3 3 2	1.514	14.2
5 2 1	1.357	11.4
6 0 2	1.150	8.0
5 2 3	1.134	6.7

=====

[11]
The following is a simulated powder XRD pattern of KBiF6. It was derived from DFT lattice parameters and positions (PBE), using Cu Kα, 1.54184 Å.
Kinematic intensities with the Lorentz-polarization factor, no thermal factor.

Crystal structure
abc: 5.4718 5.4718 10.0954
angles: 90.00 90.00 90.00
Space group P4_2/mcm (No. 132)
Unique sites:
1 K 0.0000 0.0000 0.2500
2 Bi 0.5000 0.5000 0.0000
3 F 0.2348 0.2348 0.0000
4 F 0.3112 0.3112 0.3582

Most intense lines, 15 to 90 degrees two-theta, by angle:
index	d [Å]	Rel. int.
1 0 0	5.472	78.7
0 0 2	5.048	31.8
1 1 0	3.869	66.7
1 0 2	3.710	100.0
1 1 2	3.071	29.0
2 1 2	2.202	57.4
1 1 4	2.114	22.1
2 2 0	1.935	15.3
2 0 4	1.855	17.6
2 1 4	1.757	16.3
3 0 2	1.715	14.9
3 1 4	1.427	15.8

=====

[12]
The following is a simulated powder XRD pattern of Na8InHg3. It was derived from DFT lattice parameters and positions (PBE), using Cu Kα, 1.54184 Å.
Kinematic intensities with the Lorentz-polarization factor, no thermal factor.

Crystal structure
abc: 10.3405 10.4059 15.1260
angles: 90.00 90.00 90.00
Space group Fmmm (No. 69)
Unique sites:
1 Na 0.0000 0.2495 0.1246
2 Na 0.2492 0.0000 0.1252
3 In 0.0000 0.0000 0.5000
4 Hg 0.0000 0.0000 0.0000
5 Hg 0.2500 0.2500 0.2500

Most intense lines, 15 to 90 degrees two-theta, by angle:
index	d [Å]	Rel. int.
2 0 2	4.277	100.0
0 0 4	3.781	9.6
2 2 0	3.667	17.9
2 2 4	2.633	48.1
0 4 0	2.601	11.6
4 0 0	2.585	11.4
0 2 6	2.267	19.5
2 4 2	2.221	18.9
4 2 2	2.214	18.2
6 0 2	1.680	8.3
2 6 4	1.508	8.5
6 2 4	1.502	8.4

=====

[13]
The following is a simulated powder XRD pattern of AcTe3As. It was derived from DFT lattice parameters and positions (PBE), using Cu Kα, 1.54184 Å.
Kinematic intensities with the Lorentz-polarization factor, no thermal factor.

Crystal structure
abc: 9.0844 4.5074 15.4456
angles: 90.00 90.00 90.00
Space group Pnma (No. 62)
Unique sites:
1 Ac 0.1000 0.2500 0.1697
2 Te 0.0202 0.7500 0.6171
3 Te 0.1497 0.7500 0.0017
4 Te 0.1842 0.2500 0.7861
5 As 0.1581 0.7500 0.4431

Most intense lines, 15 to 90 degrees two-theta, by angle:
index	d [Å]	Rel. int.
0 1 1	4.327	14.7
1 1 3	3.177	69.3
2 1 1	3.133	46.8
3 0 1	2.972	13.6
2 1 2	2.956	100.0
2 0 4	2.942	21.2
1 0 5	2.925	40.5
3 0 2	2.819	17.6
0 1 5	2.549	38.5
0 2 0	2.255	59.7
1 2 5	1.785	20.8
5 1 2	1.646	13.7